(1)
NdSbTe: calculated XRD peak list (Cu Kα, 1.54184 Å), based on the GGA-PBE geometry in the Materials Project.

Principal peaks in the range 2θ from 5° to 70°, low angle first:
| 2θ (°) | I/Imax |
| --- | --- |
| 27.99 | 43 |
| 28.97 | 23 |
| 30.47 | 100 |
| 34.63 | 85 |
| 34.87 | 61 |
| 41.43 | 60 |
| 50.75 | 33 |
| 55.24 | 32 |
| 60.03 | 20 |
| 68.82 | 19 |

Crystal structure
```
6
Lattice="4.3588 0.0000 0.0000 0.0000 4.3588 0.0000 0.0000 0.0000 9.5622" Properties=species:S:1:pos:R:3 pbc="T T T"
Nd 1.0897 1.0897 2.1408
Nd 3.2691 3.2691 7.4214
Sb 1.0897 3.2691 4.7811
Sb 3.2691 1.0897 4.7811
Te 1.0897 1.0897 8.3810
Te 3.2691 3.2691 1.1812
```

***

(2)
Nd2ZnSb4: calculated XRD peak list (Cu Kα, 1.54184 Å), based on the GGA-PBE geometry in the Materials Project.

Principal peaks in the range 2θ from 5° to 70°, low angle first:
| 2θ (°) | I/Imax |
| --- | --- |
| 26.08 | 16 |
| 26.76 | 24 |
| 30.13 | 26 |
| 33.25 | 27 |
| 33.80 | 100 |
| 41.20 | 43 |
| 49.06 | 21 |
| 53.93 | 14 |
| 59.67 | 14 |
| 65.93 | 17 |

Crystal structure
```
7
Lattice="4.3826 0.0000 0.0000 0.0000 4.3826 0.0000 0.0000 0.0000 10.2506" Properties=species:S:1:pos:R:3 pbc="T T T"
Nd 0.0000 2.1913 2.5313
Nd 2.1913 0.0000 7.7194
Zn 2.1913 2.1913 5.1253
Sb 0.0000 0.0000 0.0000
Sb 0.0000 2.1913 6.7106
Sb 2.1913 0.0000 3.5400
Sb 2.1913 2.1913 0.0000
```

***

(3)
NdSc3: calculated XRD peak list (Cu Kα, 1.54184 Å), based on the GGA-PBE geometry in the Materials Project.

Principal peaks in the range 2θ from 5° to 70°, low angle first:
| 2θ (°) | I/Imax |
| --- | --- |
| 22.31 | 40 |
| 26.06 | 18 |
| 30.19 | 24 |
| 33.27 | 25 |
| 34.57 | 100 |
| 45.53 | 15 |
| 53.62 | 18 |
| 60.29 | 19 |
| 64.58 | 20 |
| 65.38 | 14 |

Crystal structure
```
8
Lattice="6.8375 0.0000 0.0000 -3.4187 5.9214 0.0000 0.0000 0.0000 5.3862" Properties=species:S:1:pos:R:3 pbc="T T T"
Nd 0.0000 3.9476 1.3466
Nd 3.4187 1.9738 4.0397
Sc 0.0000 1.9196 4.0397
Sc -1.7563 4.9616 4.0397
Sc 1.6624 0.9598 1.3466
Sc 1.7563 4.9616 4.0397
Sc 5.1750 0.9598 1.3466
Sc 3.4187 4.0018 1.3466
```

***

(4)
NdSc4Si4: calculated XRD peak list (Cu Kα, 1.54184 Å), based on the GGA-PBE geometry in the Materials Project.

Principal peaks in the range 2θ from 5° to 70°, low angle first:
| 2θ (°) | I/Imax |
| --- | --- |
| 17.81 | 33 |
| 18.49 | 43 |
| 28.10 | 26 |
| 28.57 | 33 |
| 33.56 | 88 |
| 33.99 | 100 |
| 35.51 | 37 |
| 38.92 | 32 |
| 39.92 | 36 |
| 56.82 | 28 |

Crystal structure
```
36
Lattice="7.1191 0.0000 0.0000 0.0000 7.3439 0.0000 0.0000 0.0000 13.9399" Properties=species:S:1:pos:R:3 pbc="T T T"
Nd 1.6912 1.2813 2.1904
Nd 1.8684 6.0627 9.1604
Nd 5.2507 2.3907 11.7495
Nd 5.4280 4.9532 4.7795
Sc 0.5455 4.9481 12.2254
Sc 0.5713 4.9860 1.7585
Sc 0.6468 3.6986 6.9844
Sc 1.6351 1.3270 11.9053
Sc 1.9245 6.0169 4.9354
Sc 2.9128 3.6454 0.0144
Sc 2.9882 2.3579 8.7284
Sc 3.0140 2.3959 5.2554
Sc 4.1051 6.0678 1.7145
Sc 4.1309 6.0299 12.1814
Sc 4.2063 7.3173 6.9555
Sc 5.1946 2.3450 2.0346
Sc 5.4841 4.9990 9.0045
Sc 6.4724 0.0266 13.9255
Sc 6.5478 1.3140 5.2115
Sc 6.5736 1.2761 8.6845
Si 0.2304 2.7409 0.0221
Si 0.6259 3.3786 9.9256
Si 0.7618 3.4976 4.0926
Si 1.5579 0.8418 6.9385
Si 2.0017 6.5021 13.9085
Si 2.7977 3.8464 11.0625
Si 2.9337 3.9654 2.9556
Si 3.3291 4.6030 6.9921
Si 3.7900 0.9310 13.9178
Si 4.1855 0.2934 4.0143
Si 4.3214 0.1744 9.8473
Si 5.1175 2.8301 7.0014
Si 5.5612 4.5138 0.0314
Si 6.3573 7.1695 2.8774
Si 6.4932 7.0505 10.9843
Si 6.8887 6.4129 6.9478
```

***

(5)
Nd2ScSi2: calculated XRD peak list (Cu Kα, 1.54184 Å), based on the GGA-PBE geometry in the Materials Project.

Principal peaks in the range 2θ from 5° to 70°, low angle first:
| 2θ (°) | I/Imax |
| --- | --- |
| 20.09 | 26 |
| 24.08 | 16 |
| 26.97 | 41 |
| 31.56 | 53 |
| 33.87 | 100 |
| 38.52 | 22 |
| 40.84 | 19 |
| 50.94 | 18 |
| 55.30 | 25 |
| 56.81 | 17 |

Crystal structure
```
10
Lattice="7.3911 0.0000 0.0000 0.0000 7.3911 0.0000 0.0000 0.0000 4.4192" Properties=species:S:1:pos:R:3 pbc="T T T"
Nd 1.3133 2.3822 0.0000
Nd 2.3822 6.0778 0.0000
Nd 5.0088 1.3133 0.0000
Nd 6.0778 5.0088 0.0000
Sc 0.0000 0.0000 2.2096
Sc 3.6955 3.6955 2.2096
Si 0.8727 4.5682 2.2096
Si 2.8229 0.8727 2.2096
Si 4.5682 6.5184 2.2096
Si 6.5184 2.8229 2.2096
```

***

(6)
NdSe: calculated XRD peak list (Cu Kα, 1.54184 Å), based on the GGA-PBE geometry in the Materials Project.

Principal peaks in the range 2θ from 5° to 70°, low angle first:
| 2θ (°) | I/Imax |
| --- | --- |
| 25.78 | 16 |
| 29.86 | 100 |
| 42.74 | 75 |
| 50.59 | 8 |
| 53.01 | 26 |
| 62.03 | 12 |
| 68.32 | 3 |

Crystal structure
```
8
Lattice="5.9846 0.0000 0.0000 0.0000 5.9846 0.0000 0.0000 0.0000 5.9846" Properties=species:S:1:pos:R:3 pbc="T T T"
Nd 0.0000 0.0000 0.0000
Nd 0.0000 2.9923 2.9923
Nd 2.9923 0.0000 2.9923
Nd 2.9923 2.9923 0.0000
Se 0.0000 0.0000 2.9923
Se 0.0000 2.9923 0.0000
Se 2.9923 0.0000 0.0000
Se 2.9923 2.9923 2.9923
```

***

(7)
Nd3Se4: calculated XRD peak list (Cu Kα, 1.54184 Å), based on the GGA-PBE geometry in the Materials Project.

Principal peaks in the range 2θ from 5° to 70°, low angle first:
| 2θ (°) | I/Imax |
| --- | --- |
| 24.35 | 27 |
| 31.60 | 100 |
| 37.59 | 67 |
| 45.30 | 24 |
| 47.64 | 16 |
| 49.90 | 11 |
| 52.09 | 18 |
| 64.12 | 31 |
| 66.00 | 10 |
| 67.84 | 14 |

Crystal structure
```
14
Lattice="-4.4763 4.4763 4.4763 4.4763 -4.4763 4.4763 4.4763 4.4763 -4.4763" Properties=species:S:1:pos:R:3 pbc="T T T"
Nd 6.7145 1.1191 0.0000
Nd 3.3573 0.0000 2.2382
Nd 2.2382 3.3573 0.0000
Nd 0.0000 2.2382 3.3573
Nd 1.1191 0.0000 6.7145
Nd 0.0000 6.7145 1.1191
Se 3.8046 0.6718 -0.6718
Se 6.0427 -1.5664 1.5664
Se 0.6718 0.6718 0.6718
Se 0.6718 -0.6718 3.8046
Se -0.6718 3.8046 0.6718
Se 1.5664 6.0427 -1.5664
Se 2.9100 2.9100 2.9100
Se -1.5664 1.5664 6.0427
```

***

(8)
Nd12Si5Se28: calculated XRD peak list (Cu Kα, 1.54184 Å), based on the GGA-PBE geometry in the Materials Project.

Principal peaks in the range 2θ from 5° to 70°, low angle first:
| 2θ (°) | I/Imax |
| --- | --- |
| 24.31 | 67 |
| 29.65 | 96 |
| 31.05 | 62 |
| 32.77 | 90 |
| 33.81 | 67 |
| 34.05 | 44 |
| 35.23 | 100 |
| 35.47 | 88 |
| 38.32 | 91 |
| 39.45 | 65 |

Crystal structure
```
45
Lattice="10.6135 0.0000 0.0000 -0.0014 12.1330 0.0000 -5.3060 -6.0595 9.1785" Properties=species:S:1:pos:R:3 pbc="T T T"
Nd 0.0000 0.0000 0.0000
Nd -0.0856 6.2986 0.1601
Nd -0.2761 3.2280 5.1213
Nd -0.1170 -2.9840 5.0610
Nd 3.0630 9.3114 1.1629
Nd 3.0164 3.0659 1.3626
Nd 0.2566 6.0687 8.3267
Nd 0.3748 0.2306 8.3819
Nd 4.6610 -2.9901 5.9309
Nd 4.8241 3.2412 6.0298
Nd 7.2923 0.2389 3.8117
Nd 7.3384 6.0619 3.9760
Si -2.7848 -1.2184 7.1650
Si 2.5280 -0.4031 4.1097
Si 2.5306 5.6458 4.1034
Si 7.8075 8.7193 1.0736
Si 7.8618 2.6506 1.0191
Se -1.2226 7.8141 2.4806
Se -1.0507 1.7505 2.2984
Se -4.6372 3.2378 8.7074
Se -4.4547 -2.5657 8.4858
Se -1.0765 0.1281 5.7599
Se -0.8972 6.3089 5.6597
Se 0.8784 4.7455 2.7619
Se 0.8678 -1.2969 2.7934
Se 2.8904 6.1839 0.1664
Se 2.9030 0.2395 0.3670
Se -0.8181 -2.5610 7.9630
Se -0.5094 3.2297 8.0222
Se 2.5356 7.9207 3.9889
Se 2.5220 1.8639 4.2258
Se 2.1930 -1.3027 6.2153
Se 2.2067 4.7490 6.1943
Se 4.5034 4.7510 3.3204
Se 4.5218 -1.3021 3.3684
Se 5.8413 1.7499 1.6814
Se 5.8571 7.8131 1.9090
Se 2.8493 -4.3335 8.1165
Se 2.8875 1.7688 8.1450
Se 7.8375 4.9211 1.0430
Se 7.8371 10.9852 1.0510
Se 5.5935 6.3114 6.2956
Se 5.7673 0.1208 6.4030
Se 7.4467 3.2174 4.7630
Se 7.5319 -2.5554 5.0744
```

***

(9)
Nd2USe4: calculated XRD peak list (Cu Kα, 1.54184 Å), based on the GGA-PBE geometry in the Materials Project.

Principal peaks in the range 2θ from 5° to 70°, low angle first:
| 2θ (°) | I/Imax |
| --- | --- |
| 24.49 | 46 |
| 24.60 | 20 |
| 31.76 | 100 |
| 32.00 | 56 |
| 37.83 | 82 |
| 37.98 | 27 |
| 45.53 | 28 |
| 45.84 | 17 |
| 48.04 | 19 |
| 64.46 | 24 |

Crystal structure
```
14
Lattice="-4.4574 4.4574 4.4188 4.4574 -4.4574 4.4188 4.4574 4.4574 -4.4188" Properties=species:S:1:pos:R:3 pbc="T T T"
Nd -1.0954 2.2287 1.1047
Nd 2.2287 3.3620 3.3141
Nd 1.0954 6.6862 1.1047
Nd -2.2287 5.5529 3.3141
U 4.4574 0.0000 2.2094
U 0.0000 0.0000 4.4188
Se 2.8845 3.7871 -2.6135
Se 5.1278 1.5729 -0.4041
Se 1.5729 0.6704 1.8053
Se 1.5729 3.7871 0.4041
Se 5.1278 2.8845 2.6135
Se 2.8845 0.6704 4.8229
Se -0.6704 2.8845 4.0147
Se -0.6704 1.5729 7.0323
```

***

> Which formula does entry 5 have?

Nd2ScSi2